No. 1
Computed powder diffractogram of Rb2Hf3MnO8 for λ = 1.5418 Å (Cu Kα), from the PBE+U geometry in Alexandria.
Lines closer than 0.1° are merged.

Principal peaks in the range 5 to 70 degrees two-theta, sorted by position:
d/Å  I/Imax  index
6.872  100  0 0 3
5.402  21  1 0 1
3.436  37  0 0 6
2.925  27  1 1 3
2.774  38  0 2 1
2.701  36  2 0 2
2.460  46  0 2 4
2.029  26  0 2 7
1.896  21  2 0 8
1.616  20  2 2 0

Atomic structure:
Lattice parameters (Å, degrees): 6.4640 6.4640 20.6162 90.00 90.00 120.00
Space group R3m (No. 160, hexagonal axes)
Inequivalent atoms, fractional coordinates:
Rb: 0.0000 0.0000 0.0000
Rb: 0.0000 0.0000 0.3537
Hf: 0.0009 0.5004 0.5007
Mn: 0.0000 0.0000 0.5183
O: 0.0000 0.0000 0.2191
O: 0.0000 0.0000 0.7834
O: 0.0172 0.5086 0.7849
O: 0.1795 0.3590 0.5539

***

No. 2
Computed powder diffractogram of RbHf2Mn2O7 for λ = 1.5418 Å (Cu Kα), from the PBE+U geometry in Alexandria.
Lines closer than 0.1° are merged.

Principal peaks in the range 5 to 70 degrees two-theta, sorted by position:
d/Å  I/Imax  index
4.121  41  0 1 1
4.102  40  1 0 1
3.437  97  0 1 3
2.989  44  1 1 0
2.832  44  1 1 2
2.715  100  1 0 5
2.477  35  1 1 4
2.214  36  0 0 8
2.119  38  0 2 0
2.108  38  2 0 0

Atomic structure:
Lattice parameters (Å, degrees): 4.2170 4.2377 17.7085 90.00 90.00 90.00
Space group Immm (No. 71)
Inequivalent atoms, fractional coordinates:
Rb: 0.0000 0.0000 0.0000
Hf: 0.0000 0.0000 0.3858
Mn: 0.0000 0.5000 0.2499
O: 0.0000 0.0000 0.2625
O: 0.0000 0.0000 0.5000
O: 0.0000 0.5000 0.1298
O: 0.0000 0.5000 0.3706